Computed powder diffraction line list of LiMnF4 for Cu Kα (λ = 1.5418 Å), from a cell relaxed with GGA+U.
Kinematic intensities with the Lorentz-polarization factor, no thermal factor.

Crystal structure
```
data_LiMnF4
_cell_length_a 6.5855
_cell_length_b 6.5855
_cell_length_c 11.8405
_cell_angle_alpha 90.00
_cell_angle_beta 90.00
_cell_angle_gamma 120.00
_space_group_name_H-M_alt 'P 1'
_space_group_IT_number 1
loop_
_space_group_symop_operation_xyz
'x,y,z'
loop_
_atom_site_label
_atom_site_type_symbol
_atom_site_fract_x
_atom_site_fract_y
_atom_site_fract_z
Li1 Li 0.1386 0.6810 0.0000
Li2 Li 0.1783 0.1623 0.8784
Li3 Li 0.3190 0.4576 0.3333
Li4 Li 0.5424 0.8614 0.6667
Li5 Li 0.8377 0.0159 0.2117
Li6 Li 0.9841 0.8217 0.5451
Mn1 Mn 0.0249 0.3439 0.6240
Mn2 Mn 0.3190 0.9751 0.2907
Mn3 Mn 0.5033 0.3273 0.5972
Mn4 Mn 0.6561 0.6810 0.9574
Mn5 Mn 0.6727 0.1760 0.9305
Mn6 Mn 0.8240 0.4967 0.2639
F1 F 0.0303 0.8109 0.3753
F2 F 0.0995 0.6922 0.1744
F3 F 0.1891 0.2194 0.7086
F4 F 0.1953 0.1514 0.2284
F5 F 0.2085 0.6376 0.6857
F6 F 0.3078 0.4073 0.5077
F7 F 0.3374 0.0208 0.5458
F8 F 0.3624 0.5708 0.0190
F9 F 0.3636 0.0255 0.9802
F10 F 0.4292 0.7915 0.3523
F11 F 0.5284 0.4085 0.8651
F12 F 0.5636 0.3422 0.3662
F13 F 0.5915 0.1199 0.1984
F14 F 0.5927 0.9005 0.8410
F15 F 0.6578 0.2214 0.6996
F16 F 0.6618 0.6364 0.6469
F17 F 0.6834 0.6626 0.2125
F18 F 0.7786 0.4364 0.0329
F19 F 0.7806 0.9697 0.0419
F20 F 0.8486 0.0439 0.5617
F21 F 0.8801 0.4716 0.5317
F22 F 0.9561 0.8047 0.8950
F23 F 0.9745 0.3382 0.3135
F24 F 0.9792 0.3166 0.8792
```

The 6 most intense peaks (15° ≤ 2θ ≤ 90°), in order of falling intensity:
| 2θ/deg | I_rel |
| --- | --- |
| 17.26 | 100 |
| 44.10 | 83 |
| 22.53 | 74 |
| 32.29 | 54 |
| 15.54 | 45 |
| 55.84 | 35 |